Entry 1:
Diffraction record for SrMg4Hg5. The powder X-ray diffraction pattern is theoretical, not measured: it uses DFT lattice parameters and positions (GGA-PBE) and Cu Kα.

Main lines, low angle first (2θ = 5–70°):
Position (°2θ)  Rel. int.
24.40  78
25.40  24
34.77  70
35.51  100
39.52  15
43.56  24
50.00  25
56.39  17
62.82  39
63.72  13

Atomic structure:
a b c (Å): 3.648 3.648 17.530
angles (deg): 90.00 90.00 90.00
Space group P4/mmm (No. 123)
One atom of each set of equivalent atoms:
Sr 0.000 0.000 0.000 x1
Mg 0.000 0.000 0.219 x2
Mg 0.000 0.000 0.406 x2
Hg 0.500 0.500 0.125 x2
Hg 0.500 0.500 0.312 x2
Hg 0.500 0.500 0.500 x1

Entry 2:
Diffraction record for SrMg5Hg3. The powder X-ray diffraction pattern is theoretical, not measured: it uses DFT lattice parameters and positions (GGA-PBE) and Cu Kα.

Main lines, low angle first (2θ = 5–70°):
Position (°2θ)  Rel. int.
21.75  36
22.53  100
23.92  77
24.42  91
29.82  88
33.14  37
38.54  75
40.43  41
41.25  38
42.30  34

Atomic structure:
a b c (Å): 4.461 14.882 13.964
angles (deg): 90.00 90.00 90.00
Space group Cmcm (No. 63)
One atom of each set of equivalent atoms:
Sr 0.000 0.164 0.250 x4
Mg 0.000 0.000 0.000 x4
Mg 0.000 0.196 0.554 x8
Mg 0.000 0.437 0.143 x8
Hg 0.000 0.138 0.750 x4
Hg 0.000 0.384 0.565 x8

Repeat the second record exactly.
Diffraction record for SrMg5Hg3. The powder X-ray diffraction pattern is theoretical, not measured: it uses DFT lattice parameters and positions (GGA-PBE) and Cu Kα.

Main lines, low angle first (2θ = 5–70°):
Position (°2θ)  Rel. int.
21.75  36
22.53  100
23.92  77
24.42  91
29.82  88
33.14  37
38.54  75
40.43  41
41.25  38
42.30  34

Atomic structure:
a b c (Å): 4.461 14.882 13.964
angles (deg): 90.00 90.00 90.00
Space group Cmcm (No. 63)
One atom of each set of equivalent atoms:
Sr 0.000 0.164 0.250 x4
Mg 0.000 0.000 0.000 x4
Mg 0.000 0.196 0.554 x8
Mg 0.000 0.437 0.143 x8
Hg 0.000 0.138 0.750 x4
Hg 0.000 0.384 0.565 x8